Structure and calculated powder diffractogram of KUO3 (a crystal structure in the Materials Project, relaxed with PBE; copper Kα).
Kinematic intensities with the Lorentz-polarization factor, no thermal factor.

Top 8 peaks for 10° ≤ 2θ ≤ 90°, low angle first:
index, 2theta, Rel. int.
1 0 0, 20.50, 75
1 1 0, 29.16, 100
2 0 0, 41.70, 30
2 1 0, 46.90, 37
2 1 1, 51.69, 42
2 2 0, 60.45, 19
3 1 0, 68.50, 19
3 2 1, 83.51, 23

```
KUO3
1.0
4.331 0.000 0.000
0.000 4.331 0.000
0.000 0.000 4.331
K U O
1 1 3
Direct
0.000 0.000 0.000
0.500 0.500 0.500
0.000 0.500 0.500
0.500 0.000 0.500
0.500 0.500 0.000
```

---

Structure and calculated powder diffractogram of KYO3 (a crystal structure in the Materials Project, relaxed with PBE; copper Kα).
Kinematic intensities with the Lorentz-polarization factor, no thermal factor.

Top 8 peaks for 10° ≤ 2θ ≤ 90°, low angle first:
index, 2theta, Rel. int.
1 0 0, 19.74, 41
1 1 0, 28.06, 100
2 0 0, 40.10, 45
2 1 0, 45.07, 18
2 1 1, 49.65, 39
2 2 0, 58.00, 27
3 1 0, 65.65, 17
3 2 1, 79.79, 19

```
KYO3
1.0
4.498 0.000 0.000
0.000 4.498 0.000
0.000 0.000 4.498
K Y O
1 1 3
Direct
0.000 0.000 0.000
0.500 0.500 0.500
0.000 0.500 0.500
0.500 0.000 0.500
0.500 0.500 0.000
```